(1)
RbMgIn2I8: calculated PXRD pattern (Cu Kα X-rays), based on a DFT-relaxed cell (GGA-PBE, Alexandria).
Kinematic intensities with the Lorentz-polarization factor, no thermal factor.

Structural model:
a b c (Å): 12.218 12.218 12.218
angles (deg): 35.69 35.69 35.69
Fractional coordinates of all 12 atoms:
Rb1 0.000 0.000 0.000
Mg1 0.500 0.500 0.500
In1 0.244 0.244 0.244
In2 0.756 0.756 0.756
I1 0.157 0.403 0.767
I2 0.233 0.597 0.843
I3 0.326 0.326 0.326
I4 0.403 0.767 0.157
I5 0.597 0.843 0.233
I6 0.674 0.674 0.674
I7 0.767 0.157 0.403
I8 0.843 0.233 0.597

Most intense lines, 15° ≤ 2θ ≤ 90°, low angle first:
| Position (°2θ) | d (Å) | I/Imax |
| --- | --- | --- |
| 23.35 | 3.809 | 89 |
| 23.77 | 3.744 | 86 |
| 25.03 | 3.558 | 100 |
| 28.01 | 3.186 | 37 |
| 28.50 | 3.131 | 56 |
| 29.46 | 3.032 | 27 |
| 33.56 | 2.670 | 59 |
| 37.05 | 2.426 | 18 |
| 39.69 | 2.271 | 52 |
| 41.79 | 2.161 | 63 |
| 46.55 | 1.951 | 19 |
| 48.42 | 1.880 | 53 |

(2)
Ac2NdPd: calculated PXRD pattern (Cu Kα X-rays), based on a DFT-relaxed cell (GGA-PBE, Alexandria).
Kinematic intensities with the Lorentz-polarization factor, no thermal factor.

Structural model:
a b c (Å): 7.583 10.627 6.949
angles (deg): 90.00 90.00 90.00
Fractional coordinates of all 16 atoms:
Ac1 0.182 0.065 0.167
Ac2 0.182 0.435 0.167
Ac3 0.318 0.565 0.667
Ac4 0.318 0.935 0.667
Ac5 0.682 0.065 0.333
Ac6 0.682 0.435 0.333
Ac7 0.818 0.565 0.833
Ac8 0.818 0.935 0.833
Nd1 0.033 0.250 0.658
Nd2 0.467 0.750 0.158
Nd3 0.533 0.250 0.842
Nd4 0.967 0.750 0.342
Pd1 0.122 0.750 0.940
Pd2 0.378 0.250 0.440
Pd3 0.622 0.750 0.560
Pd4 0.878 0.250 0.060

Most intense lines, 15° ≤ 2θ ≤ 90°, low angle first:
| Position (°2θ) | d (Å) | I/Imax |
| --- | --- | --- |
| 28.09 | 3.176 | 30 |
| 28.27 | 3.157 | 100 |
| 28.93 | 3.086 | 36 |
| 29.50 | 3.028 | 37 |
| 30.70 | 2.913 | 49 |
| 31.72 | 2.821 | 41 |
| 32.99 | 2.715 | 31 |
| 34.65 | 2.588 | 26 |
| 37.87 | 2.376 | 18 |
| 44.30 | 2.045 | 19 |
| 48.47 | 1.878 | 22 |
| 51.62 | 1.771 | 34 |

(3)
Ba2ScO3F: calculated PXRD pattern (Cu Kα X-rays), based on a DFT-relaxed cell (GGA-PBE, Alexandria).
Kinematic intensities with the Lorentz-polarization factor, no thermal factor.

Structural model:
a b c (Å): 4.185 4.185 13.758
angles (deg): 90.00 90.00 90.00
Fractional coordinates of all 14 atoms:
Ba1 0.000 0.000 0.000
Ba2 0.000 0.000 0.274
Ba3 0.500 0.500 0.500
Ba4 0.500 0.500 0.774
Sc1 0.000 0.000 0.650
Sc2 0.500 0.500 0.150
O1 0.000 0.000 0.797
O2 0.000 0.500 0.130
O3 0.000 0.500 0.630
O4 0.500 0.000 0.130
O5 0.500 0.000 0.630
O6 0.500 0.500 0.297
F1 0.000 0.000 0.468
F2 0.500 0.500 0.968

Most intense lines, 15° ≤ 2θ ≤ 90°, low angle first:
| Position (°2θ) | d (Å) | I/Imax |
| --- | --- | --- |
| 22.20 | 4.004 | 40 |
| 25.91 | 3.439 | 23 |
| 28.88 | 3.091 | 100 |
| 30.20 | 2.960 | 82 |
| 39.18 | 2.299 | 21 |
| 40.20 | 2.243 | 52 |
| 43.23 | 2.093 | 43 |
| 51.09 | 1.788 | 15 |
| 51.36 | 1.779 | 15 |
| 52.83 | 1.733 | 37 |
| 59.79 | 1.547 | 22 |
| 77.23 | 1.235 | 14 |